Starting from DFT lattice parameters and positions (PBE), the powder X-ray diffraction pattern of Na2Al12Cu7 was calculated for a wavelength of 1.5418 Å.
No peak broadening, texture or thermal motion is included.

Structural model:
```
data_Na2Al12Cu7
_space_group_name_H-M_alt 'P 1'
_space_group_IT_number 1
_space_group_name_Hall 'P 1'
_cell_length_a 10.138
_cell_length_b 10.138
_cell_length_c 3.836
_cell_angle_alpha 90.00
_cell_angle_beta 90.00
_cell_angle_gamma 120.00
loop_
_atom_site_label
_atom_site_type_symbol
_atom_site_fract_x
_atom_site_fract_y
_atom_site_fract_z
Na1 Na 0.000 0.000 0.000
Na2 Na 0.333 0.667 0.500
Al1 Al 0.048 0.761 0.500
Al2 Al 0.107 0.386 0.000
Al3 Al 0.239 0.287 0.500
Al4 Al 0.279 0.893 0.000
Al5 Al 0.386 0.207 0.000
Al6 Al 0.533 0.109 0.500
Al7 Al 0.575 0.467 0.500
Al8 Al 0.614 0.721 0.000
Al9 Al 0.713 0.952 0.500
Al10 Al 0.793 0.178 0.000
Al11 Al 0.822 0.614 0.000
Al12 Al 0.891 0.425 0.500
Cu1 Cu 0.067 0.609 0.000
Cu2 Cu 0.247 0.037 0.500
Cu3 Cu 0.391 0.458 0.000
Cu4 Cu 0.542 0.933 0.000
Cu5 Cu 0.667 0.333 0.000
Cu6 Cu 0.790 0.753 0.500
Cu7 Cu 0.963 0.210 0.500
```

Most intense lines, 2θ = 10–80°, by angle:
| Position (°2θ) | I (rel.) | h k l |
| --- | --- | --- |
| 25.3 | 35.2 | 1 0 1 |
| 26.9 | 84.5 | 1 2 0 |
| 35.8 | 94.7 | 1 2 1 |
| 38.7 | 31.2 | 3 0 1 |
| 44.0 | 75.1 | 3 1 1 |
| 47.4 | 100.0 | 0 0 2 |
| 55.3 | 33.8 | 2 4 0 |
| 69.3 | 35.9 | 4 1 2 |